DySnPd2: calculated powder XRD pattern (a wavelength of 1.5418 Å), based on a cell relaxed with GGA-PBE.

Top 8 peaks for 5° ≤ 2θ ≤ 70°, in order of falling intensity:
index, d/Å, I (rel.)
2 2 0, 2.404, 100
4 2 2, 1.388, 35
4 0 0, 1.700, 17
2 0 0, 3.400, 2
1 1 1, 3.926, 1
4 2 0, 1.520, 1
3 1 1, 2.050, 1
2 2 2, 1.963, 1

Cell and atoms:
a = 6.7996 Å, b = 6.7996 Å, c = 6.7996 Å
α = 90.00°, β = 90.00°, γ = 90.00°
Space group Fm-3m (No. 225)
Asymmetric unit:
Dy 0.0000 0.0000 0.0000 [4 per cell]
Sn 0.0000 0.0000 0.5000 [4 per cell]
Pd 0.2500 0.2500 0.2500 [8 per cell]

---

BeH2O2: calculated powder XRD pattern (a wavelength of 1.5418 Å), based on a cell relaxed with GGA-PBE.

Top 10 peaks for 5° ≤ 2θ ≤ 70°, in order of falling intensity:
index, d/Å, I (rel.)
1 1 1, 3.836, 100
0 2 1, 2.332, 97
0 0 4, 2.711, 89
3 1 3, 1.958, 88
2 1 2, 2.669, 79
0 2 4, 1.792, 76
3 1 1, 2.355, 73
0 0 3, 3.614, 71
3 1 -2, 2.313, 71
1 1 -1, 3.961, 68

Cell and atoms:
a = 8.6405 Å, b = 4.7768 Å, c = 10.8952 Å
α = 90.00°, β = 95.63°, γ = 90.00°
Space group P2_1 (No. 4)
Asymmetric unit:
Be 0.0228 0.0000 0.0806 [2 per cell]
Be 0.0800 0.3612 0.6775 [2 per cell]
Be 0.2165 0.1521 0.3138 [2 per cell]
Be 0.2855 0.9231 0.6980 [2 per cell]
Be 0.4079 0.6598 0.3228 [2 per cell]
Be 0.4641 0.0172 0.9122 [2 per cell]
H 0.0382 0.8948 0.6418 [2 per cell]
H 0.0883 0.0345 0.4729 [2 per cell]
H 0.1584 0.2006 0.8490 [2 per cell]
H 0.1602 0.8129 0.9345 [2 per cell]
H 0.1680 0.5997 0.3188 [2 per cell]
H 0.2293 0.5385 0.5173 [2 per cell]
H 0.2651 0.1786 0.1215 [2 per cell]
H 0.3128 0.7036 0.1362 [2 per cell]
H 0.3246 0.3718 0.6219 [2 per cell]
H 0.3557 0.4040 0.9502 [2 per cell]
H 0.4053 0.0190 0.5259 [2 per cell]
H 0.4625 0.1082 0.3474 [2 per cell]
O 0.0681 0.0336 0.3808 [2 per cell]
O 0.0772 0.7600 0.9875 [2 per cell]
O 0.0873 0.3556 0.8200 [2 per cell]
O 0.1154 0.0393 0.6270 [2 per cell]
O 0.1804 0.1168 0.1698 [2 per cell]
O 0.2443 0.5244 0.6114 [2 per cell]
O 0.2493 0.4880 0.3645 [2 per cell]
O 0.3094 0.9171 0.8344 [2 per cell]
O 0.3794 0.9887 0.3724 [2 per cell]
O 0.4102 0.6432 0.1810 [2 per cell]
O 0.4222 0.0447 0.6178 [2 per cell]
O 0.4255 0.2857 0.0038 [2 per cell]

---

Rb3Mn: calculated powder XRD pattern (a wavelength of 1.5418 Å), based on a cell relaxed with GGA-PBE.

Top 10 peaks for 5° ≤ 2θ ≤ 70°, in order of falling intensity:
index, d/Å, I (rel.)
2 2 0, 3.461, 100
4 2 2, 1.998, 41
4 0 0, 2.447, 19
6 2 0, 1.548, 18
4 4 0, 1.730, 13
4 4 4, 1.413, 4
1 1 1, 5.651, 2
3 1 1, 2.951, 1
2 0 0, 4.894, 1
3 3 1, 2.246, 1

Cell and atoms:
a = 9.7884 Å, b = 9.7884 Å, c = 9.7884 Å
α = 90.00°, β = 90.00°, γ = 90.00°
Space group Fm-3m (No. 225)
Asymmetric unit:
Rb 0.0000 0.0000 0.0000 [4 per cell]
Rb 0.2500 0.2500 0.2500 [8 per cell]
Mn 0.0000 0.0000 0.5000 [4 per cell]

---

TeMoWSeS2: calculated powder XRD pattern (a wavelength of 1.5418 Å), based on a cell relaxed with GGA-PBE.

Top 10 peaks for 5° ≤ 2θ ≤ 70°, in order of falling intensity:
index, d/Å, I (rel.)
0 0 5, 7.526, 100
1 0 8, 2.447, 80
1 0 0, 2.863, 43
0 1 13, 2.036, 41
0 0 3, 12.544, 41
1 1 0, 1.654, 28
0 0 6, 6.272, 18
1 0 9, 2.363, 13
0 1 7, 2.528, 13
1 0 5, 2.678, 13

Cell and atoms:
a = 3.3083 Å, b = 3.3083 Å, c = 37.6321 Å
α = 90.00°, β = 90.00°, γ = 120.00°
Space group P3m1 (No. 156)
Asymmetric unit:
Te 0.0000 0.0000 0.0000 [1 per cell]
Te 0.0000 0.0000 0.1021 [1 per cell]
Mo 0.0000 0.0000 0.8632 [1 per cell]
Mo 0.6667 0.3333 0.6754 [1 per cell]
W 0.0000 0.0000 0.2390 [1 per cell]
W 0.6667 0.3333 0.0511 [1 per cell]
Se 0.0000 0.0000 0.6308 [1 per cell]
Se 0.0000 0.0000 0.7199 [1 per cell]
S 0.6667 0.3333 0.1982 [1 per cell]
S 0.6667 0.3333 0.2797 [1 per cell]
S 0.6667 0.3333 0.8226 [1 per cell]
S 0.6667 0.3333 0.9038 [1 per cell]

---

Co2AgN3: calculated powder XRD pattern (a wavelength of 1.5418 Å), based on a cell relaxed with GGA-PBE.

Top 10 peaks for 5° ≤ 2θ ≤ 70°, in order of falling intensity:
index, d/Å, I (rel.)
1 0 4, 2.303, 100
0 1 5, 2.225, 81
0 0 9, 2.889, 79
1 0 1, 2.451, 70
1 0 10, 1.788, 45
0 1 14, 1.483, 39
1 1 0, 1.422, 36
1 0 13, 1.553, 21
0 1 8, 1.963, 16
0 0 6, 4.334, 16

Cell and atoms:
a = 2.8432 Å, b = 2.8432 Å, c = 26.0039 Å
α = 90.00°, β = 90.00°, γ = 120.00°
Space group P3_121 (No. 152)
Asymmetric unit:
Co 0.0288 0.3410 0.3834 [6 per cell]
Ag 0.0000 0.3281 0.1667 [3 per cell]
N 0.0000 0.2787 0.6667 [3 per cell]
N 0.0074 0.3284 0.2498 [6 per cell]